# 1
Calculated powder diffraction line list of KTiPSe5 for copper Kα, from a DFT-relaxed cell (PBE, Alexandria).
Intensities are scaled so that the largest is 100.

Main lines, most intense first (2θ = 5–70°):
two_theta, Rel. int., (hkl)
32.4, 100, 4 2 -1
9.5, 64, 2 0 0
28.8, 55, 6 0 0
15.0, 45, 2 0 -1
29.5, 44, 2 2 1
28.9, 41, 2 0 2

Structural model:
```
data_KTiPSe5
_chemical_formula_sum 'K4 Ti4 P4 Se20'
_cell_length_a 18.787
_cell_length_b 7.456
_cell_length_c 6.930
_cell_angle_alpha 90.00
_cell_angle_beta 97.78
_cell_angle_gamma 90.00
_space_group_name_H-M_alt 'C 1 2/m 1'
_space_group_IT_number 12
_space_group_name_Hall '-C 2y'
loop_
_atom_site_label
_atom_site_type_symbol
_atom_site_fract_x
_atom_site_fract_y
_atom_site_fract_z
K1 K 0.231 0.000 0.235
Ti1 Ti 0.000 0.224 0.000
P1 P 0.136 0.500 0.208
Se1 Se 0.059 0.000 0.817
Se2 Se 0.084 0.259 0.323
Se3 Se 0.084 0.500 0.893
Se4 Se 0.248 0.000 0.746
```

# 2
Calculated powder diffraction line list of CdGaSn2As4 for copper Kα, from a DFT-relaxed cell (PBE, Alexandria).
Intensities are scaled so that the largest is 100.

Main lines, most intense first (2θ = 5–70°):
two_theta, Rel. int., (hkl)
25.3, 100, 2 0 2
25.0, 98, 0 2 2
42.0, 97, 2 2 4
48.4, 34, 2 4 2
49.0, 31, 4 2 2
40.5, 28, 0 4 0

Structural model:
```
data_CdGaSn2As4
_chemical_formula_sum 'Cd4 Ga4 Sn8 As16'
_cell_length_a 8.723
_cell_length_b 8.900
_cell_length_c 11.892
_cell_angle_alpha 90.00
_cell_angle_beta 90.00
_cell_angle_gamma 90.00
_space_group_name_H-M_alt 'F m m 2'
_space_group_IT_number 42
_space_group_name_Hall 'F 2 -2'
loop_
_atom_site_label
_atom_site_type_symbol
_atom_site_fract_x
_atom_site_fract_y
_atom_site_fract_z
Cd1 Cd 0.000 0.000 0.000
Ga1 Ga 0.000 0.000 0.500
Sn1 Sn 0.250 0.250 0.251
As1 As 0.000 0.238 0.616
As2 As 0.238 0.000 0.381
```